Starting from a DFT-relaxed cell (PBE, Alexandria), the powder diffractogram of La3GaO was simulated for Cu Kα, 1.54184 Å.

Principal peaks in the range 10 to 80 degrees two-theta, sorted by position:
2theta, I/Imax
22.76, 253
27.99, 451
28.14, 479
28.77, 775
28.92, 1000
30.57, 343
34.59, 292
35.48, 325
38.00, 310
40.93, 418

Cell lengths 7.2576, 7.2576, 9.6603 Å; angles 97.78, 97.78, 35.37 degrees
Fractional positions:
La1 0.0395 0.0395 0.3321
La2 0.2481 0.2481 0.6669
La3 0.3550 0.3550 0.0598
La4 0.6450 0.6450 0.9402
La5 0.7519 0.7519 0.3331
La6 0.9605 0.9605 0.6679
Ga1 0.4025 0.4025 0.4288
Ga2 0.5975 0.5975 0.5712
O1 0.2084 0.2084 0.9038
O2 0.7916 0.7916 0.0962